The following is a simulated powder diffractogram of Ac2In3Ag9. It was derived from a cell relaxed with PBE, using Cu Kα.

Structural model:
```
Ac2In3Ag9
1.0
7.3351 -4.3171 0.0000
7.3351 4.3171 0.0000
0.0000 0.0000 10.0148
Ac In Ag
4 6 18
Direct
0.0149 0.6737 0.7500
0.3263 0.9851 0.7500
0.6737 0.0149 0.2500
0.9851 0.3263 0.2500
0.0000 0.0000 0.0000
0.0000 0.0000 0.5000
0.3151 0.3151 0.0000
0.3151 0.3151 0.5000
0.6849 0.6849 0.0000
0.6849 0.6849 0.5000
0.0169 0.6565 0.0934
0.0169 0.6565 0.4066
0.1495 0.8505 0.2500
0.3399 0.6601 0.5300
0.3399 0.6601 0.9700
0.3435 0.9831 0.0934
0.3435 0.9831 0.4066
0.3580 0.4489 0.2500
0.4489 0.3580 0.7500
0.5511 0.6420 0.2500
0.6420 0.5511 0.7500
0.6565 0.0169 0.5934
0.6565 0.0169 0.9066
0.6601 0.3399 0.0300
0.6601 0.3399 0.4700
0.8505 0.1495 0.7500
0.9831 0.3435 0.5934
0.9831 0.3435 0.9066
```

Most intense lines, 10° ≤ 2θ ≤ 90°, low angle first:
- d 2.959, intensity 25.8
- d 2.692, intensity 18.1
- d 2.641, intensity 38.6
- d 2.626, intensity 100.0
- d 2.504, intensity 22.9
- d 2.481, intensity 91.6
- d 2.460, intensity 34.7
- d 2.445, intensity 37.7
- d 2.429, intensity 21.3
- d 2.143, intensity 18.4